1.
Diffraction record for CsRbCdBr4. The powder X-ray diffraction pattern is calculated, not measured: it uses a PBE-relaxed structure and copper Kα.

Most intense lines, 2θ = 10–90°, in order of rising 2θ:
d [Å], 2θ (°), I/Imax
3.939, 22.57, 36
3.573, 24.92, 78
3.502, 25.43, 42
3.254, 27.41, 100
3.035, 29.43, 48
2.744, 32.63, 41
2.504, 35.87, 37
2.115, 42.75, 39
1.969, 46.09, 23
1.851, 49.23, 26

Structural model:
a = 8.052 Å, b = 7.879 Å, c = 10.015 Å
α = 90.00°, β = 108.24°, γ = 90.00°
Fractional positions:
Cs1 0.230 0.250 0.433
Cs2 0.770 0.750 0.567
Rb1 0.276 0.250 0.945
Rb2 0.724 0.750 0.055
Cd1 0.275 0.750 0.191
Cd2 0.725 0.250 0.809
Br1 0.084 0.750 0.363
Br2 0.084 0.750 0.926
Br3 0.498 0.006 0.247
Br4 0.498 0.494 0.247
Br5 0.502 0.506 0.753
Br6 0.502 0.994 0.753
Br7 0.916 0.250 0.074
Br8 0.916 0.250 0.637


2.
Diffraction record for Nd2PuSb3Pt4. The powder X-ray diffraction pattern is calculated, not measured: it uses a PBE-relaxed structure and copper Kα.

Most intense lines, 2θ = 10–90°, in order of rising 2θ:
d [Å], 2θ (°), I/Imax
5.725, 15.48, 15
2.922, 30.59, 26
2.801, 31.95, 100
2.271, 39.68, 62
2.137, 42.29, 48
2.045, 44.30, 16
1.793, 50.92, 13
1.606, 57.37, 21
1.393, 67.18, 24
1.284, 73.80, 19

Structural model:
a = 4.543 Å, b = 4.543 Å, c = 11.450 Å
α = 90.00°, β = 90.00°, γ = 90.00°
Fractional positions:
Nd1 0.000 0.500 0.214
Nd2 0.500 0.000 0.786
Pu1 0.000 0.000 0.500
Sb1 0.000 0.500 0.873
Sb2 0.500 0.000 0.127
Sb3 0.500 0.500 0.500
Pt1 0.000 0.000 0.000
Pt2 0.000 0.500 0.647
Pt3 0.500 0.000 0.353
Pt4 0.500 0.500 0.000


3.
Diffraction record for Na3HoTi2Nb2O12. The powder X-ray diffraction pattern is calculated, not measured: it uses a PBE-relaxed structure and copper Kα.

Most intense lines, 2θ = 10–90°, in order of rising 2θ:
d [Å], 2θ (°), I/Imax
7.779, 11.38, 27
5.186, 17.10, 29
3.791, 23.46, 43
3.493, 25.50, 21
2.800, 31.97, 23
2.757, 32.47, 100
2.730, 32.80, 25
1.955, 46.46, 29
1.945, 46.71, 18
1.581, 58.35, 25

Structural model:
a = 15.558 Å, b = 5.460 Å, c = 5.599 Å
α = 90.00°, β = 90.00°, γ = 90.00°
Fractional positions:
Na1 0.000 0.241 0.000
Na2 0.000 0.759 0.500
Na3 0.253 0.254 0.967
Na4 0.253 0.746 0.467
Na5 0.747 0.254 0.967
Na6 0.747 0.746 0.467
Ho1 0.500 0.266 0.056
Ho2 0.500 0.734 0.556
Ti1 0.375 0.231 0.518
Ti2 0.375 0.769 0.018
Ti3 0.625 0.231 0.518
Ti4 0.625 0.769 0.018
Nb1 0.128 0.256 0.476
Nb2 0.128 0.744 0.976
Nb3 0.872 0.256 0.476
Nb4 0.872 0.744 0.976
O1 0.000 0.195 0.487
O2 0.000 0.805 0.987
O3 0.113 0.445 0.800
O4 0.113 0.555 0.300
O5 0.143 0.050 0.201
O6 0.143 0.950 0.701
O7 0.256 0.310 0.513
O8 0.256 0.690 0.013
O9 0.366 0.060 0.179
O10 0.366 0.940 0.679
O11 0.408 0.448 0.769
O12 0.408 0.552 0.269
O13 0.500 0.149 0.450
O14 0.500 0.851 0.950
O15 0.592 0.448 0.769
O16 0.592 0.552 0.269
O17 0.634 0.060 0.179
O18 0.634 0.940 0.679
O19 0.744 0.310 0.513
O20 0.744 0.690 0.013
O21 0.857 0.050 0.201
O22 0.857 0.950 0.701
O23 0.887 0.445 0.800
O24 0.887 0.555 0.300


4.
Diffraction record for Li7HgAu2. The powder X-ray diffraction pattern is calculated, not measured: it uses a PBE-relaxed structure and copper Kα.

Most intense lines, 2θ = 10–90°, in order of rising 2θ:
d [Å], 2θ (°), I/Imax
4.939, 17.96, 16
3.626, 24.55, 100
3.060, 29.18, 50
2.515, 35.69, 28
2.251, 40.06, 35
2.086, 43.38, 25
1.912, 47.55, 18
1.858, 49.03, 13
1.485, 62.56, 15
1.457, 63.87, 15

Structural model:
a = 4.502 Å, b = 4.502 Å, c = 9.878 Å
α = 90.00°, β = 90.00°, γ = 120.00°
Fractional positions:
Li1 0.000 0.000 0.000
Li2 0.000 0.000 0.244
Li3 0.000 0.000 0.740
Li4 0.333 0.667 0.399
Li5 0.333 0.667 0.812
Li6 0.667 0.333 0.191
Li7 0.667 0.333 0.578
Hg1 0.667 0.333 0.894
Au1 0.000 0.000 0.492
Au2 0.333 0.667 0.107


5.
Diffraction record for MnAlSe3. The powder X-ray diffraction pattern is calculated, not measured: it uses a PBE-relaxed structure and copper Kα.

Most intense lines, 2θ = 10–90°, in order of rising 2θ:
d [Å], 2θ (°), I/Imax
4.716, 18.82, 12
2.904, 30.79, 12
2.828, 31.63, 100
2.162, 41.78, 39
1.869, 48.71, 32
1.662, 55.27, 22
1.572, 58.74, 9
1.560, 59.25, 14
1.198, 80.14, 10
1.147, 84.48, 10

Structural model:
a = 6.908 Å, b = 6.908 Å, c = 6.908 Å
α = 55.90°, β = 55.90°, γ = 55.90°
Fractional positions:
Mn1 0.154 0.154 0.154
Mn2 0.846 0.846 0.846
Al1 0.349 0.349 0.349
Al2 0.651 0.651 0.651
Se1 0.056 0.439 0.751
Se2 0.249 0.944 0.561
Se3 0.439 0.751 0.056
Se4 0.561 0.249 0.944
Se5 0.751 0.056 0.439
Se6 0.944 0.561 0.249